Rb2Np2PdSe6: computed powder diffractogram (Cu Ka), based on a crystal structure in Alexandria, relaxed with GGA-PBE.
Kinematic intensities with the Lorentz-polarization factor, no thermal factor.

Crystal structure
```
Rb2Np2PdSe6
1.0
3.732 -5.710 0.000
3.732 5.710 0.000
-2.272 0.000 8.081
Rb Np Pd Se
2 2 1 6
Cartesian
3.732 3.645 0.000 Rb
3.732 -3.645 0.000 Rb
2.596 1.905 4.040 Np
2.596 -1.905 4.040 Np
-1.136 0.000 4.040 Pd
0.068 1.744 5.478 Se
1.831 0.000 2.162 Se
0.068 -1.744 5.478 Se
5.125 1.744 2.603 Se
3.361 0.000 5.919 Se
5.125 -1.744 2.603 Se
```

Largest 10 diffraction maxima, by angle, 5° ≤ 2θ ≤ 70°:
2θ (°)	d_spacing	I_rel
10.95	8.081	100
24.23	3.673	14
28.43	3.140	49
30.04	2.975	79
36.87	2.438	23
37.74	2.384	13
40.15	2.246	31
43.46	2.082	27
44.70	2.027	12
56.54	1.628	15